Starting from the PBE geometry in Alexandria, the PXRD pattern of Dy7Y12Tl was calculated for Cu Kα (weighted mean of Kα1 and Kα2).

Most intense lines, 2θ from 10° to 80°, in order of rising 2θ:
index	2θ (°)	intensity
1 0 4	24.2	21
0 2 4	28.5	26
0 1 5	29.6	45
0 3 3	31.0	62
4 -3 1	31.6	100
3 -1 4	32.2	50
3 1 2	33.2	98
3 -2 8	52.0	28
4 1 6	53.5	20
3 4 2	55.2	20

Structure:
abc: 11.9693 11.9693 15.7558
angles: 90.00 90.00 120.00
Space group R-3 (No. 148, hexagonal axes)
Asymmetric unit:
Dy (0.0000, 0.0000, 0.0000) x3
Dy (0.0580, 0.1882, 0.2953) x18
Y (0.0366, 0.4584, 0.2154) x18
Y (0.0563, 0.5837, 0.5847) x18
Tl (0.0000, 0.0000, 0.5000) x3